# 1
Structure and computed powder X-ray diffraction pattern of NdPaCuO5 (a DFT-relaxed cell (PBE, Alexandria); Cu Kα (weighted mean of Kα1 and Kα2)).

The 10 most intense peaks (2θ = 10–90°), by angle:
5.271 Å, 16.82 deg, rel. 32.3
3.612 Å, 24.65 deg, rel. 100.0
3.126 Å, 28.55 deg, rel. 61.7
2.956 Å, 30.24 deg, rel. 61.3
2.896 Å, 30.88 deg, rel. 79.5
2.663 Å, 33.65 deg, rel. 30.9
2.561 Å, 35.04 deg, rel. 26.4
2.147 Å, 42.09 deg, rel. 25.5
1.757 Å, 52.05 deg, rel. 25.5
1.699 Å, 53.95 deg, rel. 23.0

Atomic structure:
a b c (Å): 6.7379 9.8010 7.9863
angles (deg): 90.00 111.87 90.00
Space group C2/c (No. 15)
One atom of each set of equivalent atoms:
Nd 0.0000 0.1667 0.2500 [4 per cell]
Pa 0.0000 0.5000 0.0000 [4 per cell]
Cu 0.0000 0.1725 0.7500 [4 per cell]
O 0.0000 0.4062 0.2500 [4 per cell]
O 0.1046 0.2968 0.6080 [8 per cell]
O 0.1625 0.0317 0.9217 [8 per cell]

=====

# 2
Structure and computed powder X-ray diffraction pattern of NdCu4Pd3O12 (a DFT-relaxed cell (PBE, Alexandria); Cu Kα (weighted mean of Kα1 and Kα2)).

The 10 most intense peaks (2θ = 10–90°), by angle:
3.752 Å, 23.72 deg, rel. 7.0
2.653 Å, 33.79 deg, rel. 100.0
2.373 Å, 37.92 deg, rel. 3.1
2.166 Å, 41.70 deg, rel. 6.5
1.876 Å, 48.53 deg, rel. 24.6
1.678 Å, 54.71 deg, rel. 2.8
1.532 Å, 60.44 deg, rel. 45.4
1.326 Å, 71.07 deg, rel. 12.7
1.251 Å, 76.12 deg, rel. 2.6
1.186 Å, 81.06 deg, rel. 16.4

Atomic structure:
a b c (Å): 7.5032 7.5032 7.5032
angles (deg): 90.00 90.00 90.00
Space group Im-3 (No. 204)
One atom of each set of equivalent atoms:
Nd 0.0000 0.0000 0.0000 [2 per cell]
Cu 0.2500 0.2500 0.2500 [8 per cell]
Pd 0.0000 0.0000 0.5000 [6 per cell]
O 0.0000 0.3014 0.1783 [24 per cell]

=====

Repeat the first record exactly.
Structure and computed powder X-ray diffraction pattern of NdPaCuO5 (a DFT-relaxed cell (PBE, Alexandria); Cu Kα (weighted mean of Kα1 and Kα2)).

The 10 most intense peaks (2θ = 10–90°), by angle:
5.271 Å, 16.82 deg, rel. 32.3
3.612 Å, 24.65 deg, rel. 100.0
3.126 Å, 28.55 deg, rel. 61.7
2.956 Å, 30.24 deg, rel. 61.3
2.896 Å, 30.88 deg, rel. 79.5
2.663 Å, 33.65 deg, rel. 30.9
2.561 Å, 35.04 deg, rel. 26.4
2.147 Å, 42.09 deg, rel. 25.5
1.757 Å, 52.05 deg, rel. 25.5
1.699 Å, 53.95 deg, rel. 23.0

Atomic structure:
a b c (Å): 6.7379 9.8010 7.9863
angles (deg): 90.00 111.87 90.00
Space group C2/c (No. 15)
One atom of each set of equivalent atoms:
Nd 0.0000 0.1667 0.2500 [4 per cell]
Pa 0.0000 0.5000 0.0000 [4 per cell]
Cu 0.0000 0.1725 0.7500 [4 per cell]
O 0.0000 0.4062 0.2500 [4 per cell]
O 0.1046 0.2968 0.6080 [8 per cell]
O 0.1625 0.0317 0.9217 [8 per cell]

=====

Number 1 is which compound?
NdPaCuO5